The following is a computed X-ray powder pattern of KTaC. It was derived from a crystal structure in OQMD, relaxed with GGA-PBE, using Cu Kα, 1.54184 Å.

Largest 12 diffraction maxima, low angle first, 15° ≤ 2θ ≤ 90°:
3.378 Å, I = 46
3.141 Å, I = 100
2.853 Å, I = 25
2.622 Å, I = 44
2.303 Å, I = 37
2.222 Å, I = 40
2.071 Å, I = 12
2.015 Å, I = 40
1.730 Å, I = 17
1.656 Å, I = 12
1.466 Å, I = 17
1.321 Å, I = 12

Structural model:
Unit cell a=3.1472 b=8.3097 c=8.3097 alpha=71.20 beta=90.00 gamma=90.00
Sites, in units of the cell vectors:
K 0.0000 0.0000 0.0000
K 0.0000 0.3347 0.6684
K 0.0000 0.6684 0.3347
Ta 0.0000 0.0625 0.3933
Ta 0.0000 0.3933 0.0625
Ta 0.0000 0.7278 0.7278
C 0.5000 0.3053 0.9732
C 0.5000 0.6392 0.6392
C 0.5000 0.9732 0.3053



The following is a computed X-ray powder pattern of LaSi2MoWC. It was derived from a crystal structure in OQMD, relaxed with GGA-PBE, using Cu Kα, 1.54184 Å.

Largest 12 diffraction maxima, low angle first, 15° ≤ 2θ ≤ 90°:
5.484 Å, I = 19
4.253 Å, I = 14
3.356 Å, I = 22
2.742 Å, I = 22
2.634 Å, I = 100
2.304 Å, I = 19
2.127 Å, I = 18
2.121 Å, I = 18
1.679 Å, I = 25
1.561 Å, I = 28
1.317 Å, I = 13
1.306 Å, I = 12

Structural model:
Unit cell a=4.2425 b=4.2531 c=5.4839 alpha=90.00 beta=90.00 gamma=90.00
Sites, in units of the cell vectors:
La 0.0000 0.0000 0.0000
Si 0.5000 0.5000 0.2234
Si 0.5000 0.5000 0.7766
Mo 0.0000 0.5000 0.5000
W 0.5000 0.0000 0.5000
C 0.0000 0.0000 0.5000



The following is a computed X-ray powder pattern of LaNdCN2O2. It was derived from a crystal structure in OQMD, relaxed with GGA-PBE, using Cu Kα, 1.54184 Å.

Largest 12 diffraction maxima, low angle first, 15° ≤ 2θ ≤ 90°:
4.168 Å, I = 19
3.404 Å, I = 16
3.151 Å, I = 100
2.778 Å, I = 16
2.636 Å, I = 39
2.152 Å, I = 22
1.965 Å, I = 30
1.777 Å, I = 36
1.668 Å, I = 18
1.605 Å, I = 19
1.271 Å, I = 18
1.095 Å, I = 13

Structural model:
Unit cell a=3.9307 b=3.9307 c=8.3353 alpha=90.00 beta=90.00 gamma=120.00
Sites, in units of the cell vectors:
La 0.0000 0.0000 0.0000
Nd 0.6667 0.3333 0.6356
C 0.3333 0.6667 0.3180
N 0.3333 0.6667 0.1697
N 0.3333 0.6667 0.4663
O 0.0000 0.0000 0.7105
O 0.6667 0.3333 0.9177



The following is a computed X-ray powder pattern of LaPrNi2C2N2. It was derived from a crystal structure in OQMD, relaxed with GGA-PBE, using Cu Kα, 1.54184 Å.

Largest 12 diffraction maxima, low angle first, 15° ≤ 2θ ≤ 90°:
3.267 Å, I = 100
2.608 Å, I = 60
2.567 Å, I = 24
2.499 Å, I = 48
2.429 Å, I = 69
2.118 Å, I = 72
1.815 Å, I = 44
1.665 Å, I = 23
1.587 Å, I = 27
1.490 Å, I = 22
1.469 Å, I = 35
1.227 Å, I = 17

Structural model:
Unit cell a=3.6304 b=3.6304 c=7.4962 alpha=90.00 beta=90.00 gamma=90.00
Sites, in units of the cell vectors:
La 0.0000 0.0000 0.0000
Pr 0.5000 0.5000 0.3551
Ni 0.0000 0.5000 0.6761
Ni 0.5000 0.0000 0.6761
C 0.0000 0.0000 0.5243
C 0.5000 0.5000 0.8307
N 0.0000 0.0000 0.3399
N 0.5000 0.5000 0.0151



The following is a computed X-ray powder pattern of LaTbCN2O2. It was derived from a crystal structure in OQMD, relaxed with GGA-PBE, using Cu Kα, 1.54184 Å.

Largest 12 diffraction maxima, low angle first, 15° ≤ 2θ ≤ 90°:
4.134 Å, I = 19
3.335 Å, I = 17
3.093 Å, I = 100
2.756 Å, I = 17
2.596 Å, I = 41
2.124 Å, I = 21
1.925 Å, I = 29
1.757 Å, I = 24
1.745 Å, I = 11
1.635 Å, I = 15
1.578 Å, I = 19
1.246 Å, I = 12

Structural model:
Unit cell a=3.8509 b=3.8509 c=8.2681 alpha=90.00 beta=90.00 gamma=120.00
Sites, in units of the cell vectors:
La 0.0000 0.0000 0.0000
Tb 0.6667 0.3333 0.6392
C 0.3333 0.6667 0.3247
N 0.3333 0.6667 0.1751
N 0.3333 0.6667 0.4738
O 0.0000 0.0000 0.7065
O 0.6667 0.3333 0.9124



The following is a computed X-ray powder pattern of La7Os4C9. It was derived from a crystal structure in OQMD, relaxed with GGA-PBE, using Cu Kα, 1.54184 Å.

Largest 12 diffraction maxima, low angle first, 15° ≤ 2θ ≤ 90°:
4.884 Å, I = 14
3.221 Å, I = 32
2.816 Å, I = 53
2.807 Å, I = 20
2.799 Å, I = 13
2.767 Å, I = 100
2.712 Å, I = 56
2.609 Å, I = 16
1.949 Å, I = 23
1.599 Å, I = 15
1.576 Å, I = 17
1.441 Å, I = 10

Structural model:
Unit cell a=6.5934 b=6.5934 c=11.9828 alpha=108.98 beta=108.98 gamma=48.58
Sites, in units of the cell vectors:
La 0.0000 0.0000 0.0000
La 0.1368 0.1368 0.6177
La 0.1470 0.1470 0.3214
La 0.3736 0.3736 0.1570
La 0.6264 0.6264 0.8430
La 0.8530 0.8530 0.6786
La 0.8632 0.8632 0.3823
Os 0.3572 0.3572 0.8587
Os 0.4340 0.4340 0.5716
Os 0.5660 0.5660 0.4284
Os 0.6428 0.6428 0.1413
C 0.0776 0.0776 0.8204
C 0.1957 0.1957 0.8553
C 0.3843 0.3843 0.7094
C 0.3923 0.3923 0.3871
C 0.5000 0.5000 0.0000
C 0.6077 0.6077 0.6129
C 0.6157 0.6157 0.2906
C 0.8043 0.8043 0.1447
C 0.9224 0.9224 0.1796